The following is a computed powder diffractogram of CaCo3Si4O12. It was derived from the GGA+U geometry in Alexandria, using Cu Kα, 1.54184 Å.
Intensities are scaled so that the largest is 100.

Structural model:
abc: 9.881 9.066 5.317
angles: 90.00 107.57 90.00
Space group C2 (No. 5)
Asymmetric unit:
Ca: 0.000 0.000 0.000
Co: 0.000 0.195 0.500
Co: 0.000 0.388 0.000
Co: 0.000 0.548 0.500
Si: 0.205 0.707 0.998
Si: 0.210 0.888 0.507
O: 0.116 0.382 0.397
O: 0.120 0.555 0.883
O: 0.122 0.203 0.901
O: 0.141 0.047 0.422
O: 0.148 0.782 0.236
O: 0.151 0.826 0.748

The 10 most intense peaks (2θ = 15–90°), low angle first:
Position (°2θ)	d/Å	I/Imax
18.84	4.710	26.1
27.31	3.266	23.2
29.27	3.052	100.0
30.12	2.967	53.8
34.39	2.608	61.3
35.42	2.534	48.0
35.68	2.516	39.8
41.57	2.172	40.4
55.68	1.651	24.6
65.57	1.424	26.9